[1]
Diffraction record for LiEuP. The powder diffractogram is theoretical, not measured: it uses a structure optimized by DFT (GGA-PBE) and Cu Kα X-rays.
No peak broadening, texture or thermal motion is included.

abc: 7.278 4.285 8.124
angles: 90.00 90.00 90.00
Space group Pnma (No. 62)
Inequivalent atoms, fractional coordinates:
1 Li 0.139 0.250 0.059 x4
2 Eu 0.024 0.250 0.690 x4
3 P 0.228 0.750 0.892 x4

Principal peaks in the range 10 to 90 degrees two-theta, sorted by position:
16.4°, intensity 29
21.9°, intensity 32
23.5°, intensity 77
24.5°, intensity 31
32.8°, intensity 57
33.0°, intensity 29
34.2°, intensity 100
35.4°, intensity 35
42.2°, intensity 21
51.3°, intensity 28

=====

[2]
Diffraction record for LiEuPS4. The powder diffractogram is theoretical, not measured: it uses a structure optimized by DFT (GGA-PBE) and Cu Kα X-rays.
No peak broadening, texture or thermal motion is included.

abc: 11.560 11.560 20.019
angles: 90.00 90.00 90.00
Space group I4_1/acd (No. 142, origin choice 2)
Inequivalent atoms, fractional coordinates:
1 Li 0.217 0.000 0.250 x16
2 Eu 0.000 0.250 0.125 x8
3 Eu 0.000 0.250 0.375 x8
4 P 0.035 0.000 0.750 x16
5 S 0.066 0.003 0.335 x32
6 S 0.101 0.116 0.502 x32

Principal peaks in the range 10 to 90 degrees two-theta, sorted by position:
15.3°, intensity 100
17.7°, intensity 29
23.5°, intensity 83
28.2°, intensity 83
30.9°, intensity 28
34.7°, intensity 43
35.9°, intensity 78
39.2°, intensity 89
50.8°, intensity 32
53.4°, intensity 23

=====

[3]
Diffraction record for LiEuSb. The powder diffractogram is theoretical, not measured: it uses a structure optimized by DFT (GGA-PBE) and Cu Kα X-rays.
No peak broadening, texture or thermal motion is included.

abc: 7.896 4.801 8.386
angles: 90.00 90.00 90.00
Space group Pnma (No. 62)
Inequivalent atoms, fractional coordinates:
1 Li 0.163 0.250 0.077 x4
2 Eu 0.004 0.250 0.710 x4
3 Sb 0.225 0.750 0.907 x4

Principal peaks in the range 10 to 90 degrees two-theta, sorted by position:
21.3°, intensity 13
24.0°, intensity 17
24.2°, intensity 29
30.5°, intensity 15
31.2°, intensity 100
37.2°, intensity 28
37.5°, intensity 19
40.5°, intensity 10
49.5°, intensity 15
59.6°, intensity 11

=====

[4]
Diffraction record for LiEu2Si3. The powder diffractogram is theoretical, not measured: it uses a structure optimized by DFT (GGA-PBE) and Cu Kα X-rays.
No peak broadening, texture or thermal motion is included.

abc: 15.318 4.487 7.830
angles: 90.00 104.85 90.00
Space group C2/m (No. 12)
Inequivalent atoms, fractional coordinates:
1 Li 0.213 0.000 0.265 x4
2 Eu 0.113 0.500 0.431 x4
3 Eu 0.122 0.500 0.935 x4
4 Si 0.044 0.000 0.147 x4
5 Si 0.046 0.000 0.649 x4
6 Si 0.204 0.000 0.715 x4

Principal peaks in the range 10 to 90 degrees two-theta, sorted by position:
20.7°, intensity 30
23.5°, intensity 22
24.0°, intensity 29
26.9°, intensity 26
29.1°, intensity 26
32.7°, intensity 100
36.4°, intensity 28
40.2°, intensity 18
48.9°, intensity 14
65.1°, intensity 14

=====

[5]
Diffraction record for Li2EuSn. The powder diffractogram is theoretical, not measured: it uses a structure optimized by DFT (GGA-PBE) and Cu Kα X-rays.
No peak broadening, texture or thermal motion is included.

abc: 7.128 7.128 7.128
angles: 90.00 90.00 90.00
Space group Fm-3m (No. 225)
Inequivalent atoms, fractional coordinates:
1 Li 0.250 0.250 0.250 x8
2 Eu 0.000 0.000 0.000 x4
3 Sn 0.000 0.000 0.500 x4

Principal peaks in the range 10 to 90 degrees two-theta, sorted by position:
21.6°, intensity 3
25.0°, intensity 100
35.6°, intensity 94
44.0°, intensity 30
51.3°, intensity 17
57.9°, intensity 41
64.0°, intensity 35
75.4°, intensity 11
80.9°, intensity 20
86.3°, intensity 16

=====

[6]
Diffraction record for LiEu2Tl. The powder diffractogram is theoretical, not measured: it uses a structure optimized by DFT (GGA-PBE) and Cu Kα X-rays.
No peak broadening, texture or thermal motion is included.

abc: 7.951 7.951 7.951
angles: 90.00 90.00 90.00
Space group Fm-3m (No. 225)
Inequivalent atoms, fractional coordinates:
1 Li 0.000 0.000 0.000 x4
2 Eu 0.250 0.250 0.250 x8
3 Tl 0.000 0.000 0.500 x4

Principal peaks in the range 10 to 90 degrees two-theta, sorted by position:
19.3°, intensity 32
31.8°, intensity 100
37.5°, intensity 19
45.6°, intensity 19
50.0°, intensity 8
56.7°, intensity 39
60.5°, intensity 6
66.5°, intensity 12
70.0°, intensity 6
75.6°, intensity 17

=====

[7]
Diffraction record for EuLu2O4. The powder diffractogram is theoretical, not measured: it uses a structure optimized by DFT (GGA-PBE) and Cu Kα X-rays.
No peak broadening, texture or thermal motion is included.

abc: 9.864 3.349 11.757
angles: 90.00 90.00 90.00
Space group Pnma (No. 62)
Inequivalent atoms, fractional coordinates:
1 Eu 0.248 0.250 0.150 x4
2 Lu 0.072 0.750 0.389 x4
3 Lu 0.082 0.750 0.889 x4
4 O 0.007 0.250 0.284 x4
5 O 0.070 0.750 0.078 x4
6 O 0.127 0.250 0.515 x4
7 O 0.217 0.250 0.825 x4

Principal peaks in the range 10 to 90 degrees two-theta, sorted by position:
30.4°, intensity 48
31.2°, intensity 100
32.1°, intensity 71
32.3°, intensity 32
36.4°, intensity 18
45.0°, intensity 36
45.7°, intensity 21
54.5°, intensity 19
55.9°, intensity 30
64.4°, intensity 26

=====

[8]
Diffraction record for Eu2LuTaO6. The powder diffractogram is theoretical, not measured: it uses a structure optimized by DFT (GGA-PBE) and Cu Kα X-rays.
No peak broadening, texture or thermal motion is included.

abc: 8.297 8.297 8.297
angles: 90.00 90.00 90.00
Space group Fm-3m (No. 225)
Inequivalent atoms, fractional coordinates:
1 Eu 0.250 0.250 0.250 x8
2 Lu 0.000 0.000 0.000 x4
3 Ta 0.000 0.000 0.500 x4
4 O 0.000 0.000 0.260 x24

Principal peaks in the range 10 to 90 degrees two-theta, sorted by position:
21.4°, intensity 2
30.5°, intensity 100
43.6°, intensity 27
49.1°, intensity 1
54.2°, intensity 41
63.4°, intensity 17
72.0°, intensity 18
80.1°, intensity 6
88.1°, intensity 22